# NaCu2O2
Simulated XRD peak list, a wavelength of 1.5418 Å. Input: the GGA-PBE geometry in the Materials Project.
No peak broadening, texture or thermal motion is included.

a b c (Å): 6.0841 6.0841 13.1042
angles (deg): 90.00 90.00 90.00
Fractional positions:
Na  0.0102  0.2500  0.1712
Na  0.2500  0.0102  0.6712
Na  0.2500  0.4898  0.6712
Na  0.4898  0.2500  0.1712
Na  0.5102  0.7500  0.8288
Na  0.7500  0.5102  0.3288
Na  0.7500  0.9898  0.3288
Na  0.9898  0.7500  0.8288
Cu  0.0020  0.7500  0.1413
Cu  0.0019  0.7500  0.5050
Cu  0.2500  0.5020  0.3587
Cu  0.2500  0.5019  0.9950
Cu  0.2500  0.9980  0.3587
Cu  0.2500  0.9981  0.9950
Cu  0.4980  0.7500  0.1413
Cu  0.4981  0.7500  0.5050
Cu  0.5019  0.2500  0.4950
Cu  0.5020  0.2500  0.8587
Cu  0.7500  0.0019  0.0050
Cu  0.7500  0.0020  0.6413
Cu  0.7500  0.4981  0.0050
Cu  0.7500  0.4980  0.6413
Cu  0.9981  0.2500  0.4950
Cu  0.9980  0.2500  0.8587
O  0.0317  0.2500  0.3538
O  0.0340  0.7500  0.3646
O  0.2500  0.0317  0.8538
O  0.2500  0.4683  0.8538
O  0.2500  0.5340  0.1354
O  0.2500  0.9660  0.1354
O  0.4660  0.7500  0.3646
O  0.4683  0.2500  0.3538
O  0.5317  0.7500  0.6462
O  0.5340  0.2500  0.6354
O  0.7500  0.0340  0.8646
O  0.7500  0.4660  0.8646
O  0.7500  0.5317  0.1462
O  0.7500  0.9683  0.1462
O  0.9660  0.2500  0.6354
O  0.9683  0.7500  0.6462

Top 10 peaks for 15 to 90 degrees two-theta, most intense first:
- hkl 2 0 3, 36.0°, I = 100
- hkl 2 2 0, 42.0°, I = 73
- hkl 2 2 6, 60.4°, I = 26
- hkl 4 2 3, 72.8°, I = 25
- hkl 0 0 6, 41.3°, I = 23
- hkl 1 0 2, 19.9°, I = 22
- hkl 4 0 0, 60.9°, I = 21
- hkl 1 0 1, 16.1°, I = 15
- hkl 2 0 5, 45.7°, I = 13
- hkl 2 0 1, 30.2°, I = 12



# CeCr2Si2
Simulated XRD peak list, a wavelength of 1.5418 Å. Input: the GGA-PBE geometry in the Materials Project.
No peak broadening, texture or thermal motion is included.

a b c (Å): 3.9454 3.9454 10.6383
angles (deg): 90.00 90.00 90.00
Fractional positions:
Ce  0.0000  0.0000  0.0000
Ce  0.5000  0.5000  0.5000
Cr  0.0000  0.5000  0.2500
Cr  0.0000  0.5000  0.7500
Cr  0.5000  0.0000  0.2500
Cr  0.5000  0.0000  0.7500
Si  0.0000  0.0000  0.3814
Si  0.0000  0.0000  0.6186
Si  0.5000  0.5000  0.1186
Si  0.5000  0.5000  0.8814

Top 10 peaks for 15 to 90 degrees two-theta, most intense first:
- hkl 1 1 2, 36.4°, I = 100
- hkl 1 0 3, 34.0°, I = 58
- hkl 1 0 1, 24.1°, I = 42
- hkl 2 0 0, 46.0°, I = 36
- hkl 2 1 3, 58.4°, I = 24
- hkl 1 0 5, 48.6°, I = 24
- hkl 3 1 2, 78.8°, I = 19
- hkl 0 0 4, 33.7°, I = 18
- hkl 1 1 6, 62.0°, I = 17
- hkl 2 1 5, 69.2°, I = 17



# NaPm3
Simulated XRD peak list, a wavelength of 1.5418 Å. Input: the GGA-PBE geometry in the Materials Project.
No peak broadening, texture or thermal motion is included.

a b c (Å): 5.1464 5.1464 5.1464
angles (deg): 90.00 90.00 90.00
Fractional positions:
Na  0.0000  0.0000  0.0000
Pm  0.0000  0.5000  0.5000
Pm  0.5000  0.0000  0.5000
Pm  0.5000  0.5000  0.0000

Top 10 peaks for 15 to 90 degrees two-theta, most intense first:
- hkl 1 1 1, 30.1°, I = 100
- hkl 2 0 0, 34.9°, I = 51
- hkl 3 1 1, 59.6°, I = 43
- hkl 2 2 0, 50.1°, I = 36
- hkl 1 0 0, 17.2°, I = 20
- hkl 1 1 0, 24.5°, I = 17
- hkl 3 3 1, 81.5°, I = 17
- hkl 4 2 0, 84.1°, I = 16
- hkl 2 2 2, 62.5°, I = 12
- hkl 2 1 0, 39.1°, I = 10



# Ho2MgS4
Simulated XRD peak list, a wavelength of 1.5418 Å. Input: the GGA-PBE geometry in the Materials Project.
No peak broadening, texture or thermal motion is included.

a b c (Å): 13.4738 7.8679 6.5122
angles (deg): 90.00 90.00 90.00
Fractional positions:
Ho  0.0000  0.0000  0.0000
Ho  0.0000  0.5000  0.0000
Ho  0.2322  0.2500  0.4993
Ho  0.2678  0.7500  0.9993
Ho  0.5000  0.0000  0.5000
Ho  0.5000  0.5000  0.5000
Ho  0.7322  0.2500  0.0007
Ho  0.7678  0.7500  0.5007
Mg  0.0925  0.7500  0.5747
Mg  0.4075  0.2500  0.0747
Mg  0.5925  0.7500  0.9253
Mg  0.9075  0.2500  0.4253
S  0.0711  0.2500  0.2513
S  0.0921  0.7500  0.2070
S  0.1683  0.5086  0.7567
S  0.1683  0.9914  0.7567
S  0.3317  0.0086  0.2567
S  0.3317  0.4914  0.2567
S  0.4079  0.2500  0.7070
S  0.4289  0.7500  0.7513
S  0.5711  0.2500  0.2487
S  0.5921  0.7500  0.2930
S  0.6683  0.5086  0.7433
S  0.6683  0.9914  0.7433
S  0.8317  0.0086  0.2433
S  0.8317  0.4914  0.2433
S  0.9079  0.2500  0.7930
S  0.9289  0.7500  0.7487

Top 10 peaks for 15 to 90 degrees two-theta, most intense first:
- hkl 2 2 2, 38.3°, I = 100
- hkl 1 1 1, 18.9°, I = 98
- hkl 0 0 2, 27.3°, I = 82
- hkl 1 0 1, 15.1°, I = 61
- hkl 3 0 1, 24.1°, I = 54
- hkl 2 2 0, 26.2°, I = 53
- hkl 3 1 1, 26.6°, I = 50
- hkl 4 0 2, 38.5°, I = 43
- hkl 6 2 0, 46.6°, I = 37
- hkl 5 2 1, 43.0°, I = 28



# Ho2Si3Pd
Simulated XRD peak list, a wavelength of 1.5418 Å. Input: the GGA-PBE geometry in the Materials Project.
No peak broadening, texture or thermal motion is included.

a b c (Å): 8.2080 8.2080 7.8259
angles (deg): 90.00 90.00 120.00
Fractional positions:
Ho  0.0000  0.0000  0.2500
Ho  0.0000  0.0000  0.7500
Ho  0.0246  0.5123  0.2500
Ho  0.4877  0.5123  0.2500
Ho  0.4877  0.9754  0.2500
Ho  0.5123  0.0246  0.7500
Ho  0.5123  0.4877  0.7500
Ho  0.9754  0.4877  0.7500
Si  0.1655  0.3311  0.5035
Si  0.1655  0.3311  0.9965
Si  0.1655  0.8345  0.5035
Si  0.1655  0.8345  0.9965
Si  0.3311  0.1655  0.0035
Si  0.3311  0.1655  0.4965
Si  0.6689  0.8345  0.5035
Si  0.6689  0.8345  0.9965
Si  0.8345  0.1655  0.0035
Si  0.8345  0.1655  0.4965
Si  0.8345  0.6689  0.0035
Si  0.8345  0.6689  0.4965
Pd  0.3333  0.6667  0.5442
Pd  0.3333  0.6667  0.9558
Pd  0.6667  0.3333  0.0442
Pd  0.6667  0.3333  0.4558

Top 10 peaks for 15 to 90 degrees two-theta, most intense first:
- hkl 2 0 2, 34.1°, I = 100
- hkl 2 2 0, 44.1°, I = 37
- hkl 2 0 0, 25.1°, I = 32
- hkl 4 0 2, 56.9°, I = 21
- hkl 4 2 2, 74.7°, I = 17
- hkl 2 2 4, 66.0°, I = 17
- hkl 2 0 4, 53.5°, I = 11
- hkl 0 0 4, 46.4°, I = 9
- hkl 2 0 6, 78.0°, I = 7
- hkl 1 1 0, 21.7°, I = 7